# Mg6Cd5Pt
Theoretical powder X-ray diffraction pattern, Cu Kα X-rays. Input: a cell relaxed with GGA-PBE.

The 6 most intense peaks (10° ≤ 2θ ≤ 90°), by angle:
2θ/deg	d/Å	intensity
23.8	3.733	34
26.9	3.313	25
27.0	3.301	24
36.3	2.475	100
38.2	2.357	22
38.8	2.319	21

Structure:
Lattice parameters (Å, degrees): 4.639 7.466 7.434 90.00 107.97 90.00
Sites, in units of the cell vectors:
Mg: 0.000 0.220 0.000
Mg: 0.000 0.780 0.000
Mg: 0.343 0.236 0.688
Mg: 0.343 0.764 0.688
Mg: 0.657 0.236 0.312
Mg: 0.657 0.764 0.312
Cd: 0.168 0.500 0.337
Cd: 0.173 0.000 0.343
Cd: 0.500 0.500 0.000
Cd: 0.827 0.000 0.657
Cd: 0.832 0.500 0.663
Pt: 0.500 0.000 0.000

=====

# Mg3CdPt2
Theoretical powder X-ray diffraction pattern, Cu Kα X-rays. Input: a cell relaxed with GGA-PBE.

The 6 most intense peaks (10° ≤ 2θ ≤ 90°), by angle:
2θ/deg	d/Å	intensity
23.2	3.826	50
29.3	3.050	57
37.7	2.385	100
41.9	2.157	41
48.4	1.879	29
73.7	1.285	28

Structure:
Lattice parameters (Å, degrees): 3.050 3.050 11.479 90.00 90.00 90.00
Sites, in units of the cell vectors:
Mg: 0.000 0.000 0.000
Mg: 0.000 0.000 0.296
Mg: 0.000 0.000 0.704
Cd: 0.500 0.500 0.500
Pt: 0.500 0.500 0.152
Pt: 0.500 0.500 0.848

=====

# PuMgCd6
Theoretical powder X-ray diffraction pattern, Cu Kα X-rays. Input: a cell relaxed with GGA-PBE.

The 6 most intense peaks (10° ≤ 2θ ≤ 90°), by angle:
2θ/deg	d/Å	intensity
33.5	2.676	27
33.7	2.662	17
35.0	2.567	100
36.7	2.452	30
38.5	2.340	18
64.9	1.437	17

Structure:
Lattice parameters (Å, degrees): 4.903 6.458 6.458 68.92 90.00 90.00
Sites, in units of the cell vectors:
Pu: 0.000 0.000 0.000
Mg: 0.500 0.245 0.245
Cd: 0.000 0.438 0.438
Cd: 0.000 0.512 0.932
Cd: 0.000 0.932 0.512
Cd: 0.500 0.316 0.739
Cd: 0.500 0.739 0.316
Cd: 0.500 0.805 0.805

=====

# PuMg2Cd9
Theoretical powder X-ray diffraction pattern, Cu Kα X-rays. Input: a cell relaxed with GGA-PBE.

The 6 most intense peaks (10° ≤ 2θ ≤ 90°), by angle:
2θ/deg	d/Å	intensity
29.3	3.047	20
33.1	2.703	100
33.5	2.672	65
35.6	2.520	21
39.5	2.284	35
59.7	1.549	32

Structure:
Lattice parameters (Å, degrees): 9.294 9.294 9.294 99.97 99.97 130.82
Sites, in units of the cell vectors:
Pu: 0.375 0.625 0.750
Pu: 0.625 0.375 0.250
Mg: 0.000 0.000 0.000
Mg: 0.000 0.000 0.500
Mg: 0.000 0.500 0.000
Mg: 0.500 0.000 0.500
Cd: 0.125 0.553 0.332
Cd: 0.125 0.793 0.573
Cd: 0.125 0.875 0.250
Cd: 0.207 0.279 0.332
Cd: 0.207 0.875 0.927
Cd: 0.279 0.207 0.832
Cd: 0.279 0.447 0.073
Cd: 0.447 0.279 0.573
Cd: 0.447 0.875 0.168
Cd: 0.553 0.125 0.832
Cd: 0.553 0.721 0.427
Cd: 0.721 0.553 0.927
Cd: 0.721 0.793 0.168
Cd: 0.793 0.125 0.073
Cd: 0.793 0.721 0.668
Cd: 0.875 0.125 0.750
Cd: 0.875 0.207 0.427
Cd: 0.875 0.447 0.668